# 1
Starting from a crystal structure in the Materials Project, relaxed with GGA+U, the powder X-ray diffraction pattern of Li2NbCo3O8 was computed for Cu Kα X-rays.
Kinematic intensities with the Lorentz-polarization factor, no thermal factor.

Structural model:
abc: 5.779 5.779 9.407
angles: 90.00 90.00 120.00
Element x y z (fractional)
Li 0.000 0.000 0.000
Li 0.000 0.000 0.500
Li 0.333 0.667 0.400
Li 0.667 0.333 0.900
Nb 0.333 0.667 0.000
Nb 0.667 0.333 0.500
Co 0.170 0.340 0.720
Co 0.170 0.830 0.720
Co 0.340 0.170 0.220
Co 0.660 0.830 0.720
Co 0.830 0.170 0.220
Co 0.830 0.660 0.220
O 0.000 0.000 0.312
O 0.000 0.000 0.812
O 0.038 0.519 0.838
O 0.165 0.330 0.104
O 0.165 0.835 0.104
O 0.330 0.165 0.604
O 0.333 0.667 0.616
O 0.481 0.519 0.838
O 0.481 0.962 0.838
O 0.519 0.038 0.338
O 0.519 0.481 0.338
O 0.667 0.333 0.116
O 0.670 0.835 0.104
O 0.835 0.165 0.604
O 0.835 0.670 0.604
O 0.962 0.481 0.338

Main lines, in order of rising 2θ (5 to 70 degrees two-theta):
2θ/deg  I (rel.)
18.87  30
20.10  100
26.00  31
33.73  43
36.49  55
37.18  44
40.85  22
46.42  37
53.47  16
56.84  22
61.68  37
64.49  31

***

# 2
Starting from a crystal structure in the Materials Project, relaxed with GGA+U, the powder X-ray diffraction pattern of LiNbCoO4 was computed for Cu Kα X-rays.
Kinematic intensities with the Lorentz-polarization factor, no thermal factor.

Structural model:
abc: 6.095 6.095 8.661
angles: 90.00 90.00 90.00
Element x y z (fractional)
Li 0.000 0.238 0.000
Li 0.000 0.762 0.500
Li 0.238 0.000 0.250
Li 0.762 0.000 0.750
Nb 0.252 0.252 0.625
Nb 0.252 0.748 0.875
Nb 0.748 0.252 0.375
Nb 0.748 0.748 0.125
Co 0.247 0.500 0.250
Co 0.500 0.247 0.000
Co 0.500 0.753 0.500
Co 0.753 0.500 0.750
O 0.003 0.256 0.254
O 0.003 0.744 0.246
O 0.255 0.498 0.006
O 0.255 0.502 0.494
O 0.256 0.003 0.996
O 0.256 0.997 0.504
O 0.498 0.255 0.244
O 0.498 0.745 0.256
O 0.502 0.255 0.756
O 0.502 0.745 0.744
O 0.744 0.003 0.004
O 0.744 0.997 0.496
O 0.745 0.498 0.994
O 0.745 0.502 0.506
O 0.997 0.256 0.746
O 0.997 0.744 0.754

Main lines, in order of rising 2θ (5 to 70 degrees two-theta):
2θ/deg  I (rel.)
14.53  18
17.79  27
23.05  23
29.26  100
34.37  48
34.49  95
51.79  13
51.93  26
55.12  12
55.35  35
60.62  40
60.79  20

***

# 3
Starting from a crystal structure in the Materials Project, relaxed with GGA+U, the powder X-ray diffraction pattern of Li4NbCo3O8 was computed for Cu Kα X-rays.
Kinematic intensities with the Lorentz-polarization factor, no thermal factor.

Structural model:
abc: 6.011 6.036 10.410
angles: 89.98 73.22 60.14
Element x y z (fractional)
Li 0.001 0.250 0.250
Li 0.002 0.248 0.752
Li 0.497 0.748 0.253
Li 0.497 0.751 0.750
Li 0.503 0.249 0.250
Li 0.503 0.252 0.747
Li 0.998 0.752 0.248
Li 0.999 0.750 0.750
Nb 0.500 0.000 0.500
Nb 0.500 0.500 0.000
Co 0.000 0.000 0.000
Co 0.000 0.000 0.500
Co 0.000 0.500 0.000
Co 0.000 0.500 0.500
Co 0.500 0.000 0.000
Co 0.500 0.500 0.500
O 0.222 0.120 0.898
O 0.259 0.621 0.398
O 0.260 0.120 0.380
O 0.260 0.855 0.122
O 0.261 0.380 0.119
O 0.264 0.354 0.622
O 0.264 0.620 0.879
O 0.264 0.879 0.620
O 0.736 0.121 0.380
O 0.736 0.380 0.121
O 0.736 0.646 0.378
O 0.739 0.620 0.881
O 0.740 0.145 0.878
O 0.740 0.880 0.620
O 0.741 0.379 0.602
O 0.778 0.880 0.102

Main lines, in order of rising 2θ (5 to 70 degrees two-theta):
2θ/deg  I (rel.)
18.07  100
34.80  16
34.97  32
36.53  18
36.62  6
42.32  24
42.52  47
46.49  18
56.23  9
61.45  14
61.68  26
64.62  10

***

# 4
Starting from a crystal structure in the Materials Project, relaxed with GGA+U, the powder X-ray diffraction pattern of Li2NbCo3O8 was computed for Cu Kα X-rays.
Kinematic intensities with the Lorentz-polarization factor, no thermal factor.

Structural model:
abc: 8.232 8.232 8.232
angles: 90.00 90.00 90.00
Element x y z (fractional)
Li 0.008 0.492 0.508
Li 0.242 0.742 0.758
Li 0.258 0.258 0.258
Li 0.492 0.508 0.008
Li 0.508 0.008 0.492
Li 0.742 0.758 0.242
Li 0.758 0.242 0.742
Li 0.992 0.992 0.992
Nb 0.125 0.875 0.375
Nb 0.375 0.125 0.875
Nb 0.625 0.625 0.625
Nb 0.875 0.375 0.125
Co 0.122 0.128 0.625
Co 0.125 0.378 0.872
Co 0.128 0.625 0.122
Co 0.372 0.375 0.622
Co 0.375 0.622 0.372
Co 0.378 0.872 0.125
Co 0.622 0.372 0.375
Co 0.625 0.122 0.128
Co 0.628 0.875 0.878
Co 0.872 0.125 0.378
Co 0.875 0.878 0.628
Co 0.878 0.628 0.875
O 0.109 0.609 0.891
O 0.112 0.120 0.388
O 0.112 0.888 0.620
O 0.120 0.388 0.112
O 0.130 0.138 0.862
O 0.138 0.630 0.362
O 0.138 0.862 0.130
O 0.141 0.359 0.641
O 0.359 0.641 0.141
O 0.362 0.138 0.630
O 0.362 0.370 0.862
O 0.370 0.862 0.362
O 0.380 0.612 0.612
O 0.388 0.112 0.120
O 0.388 0.880 0.888
O 0.391 0.391 0.391
O 0.609 0.891 0.109
O 0.612 0.380 0.612
O 0.612 0.612 0.380
O 0.620 0.112 0.888
O 0.630 0.362 0.138
O 0.638 0.638 0.870
O 0.638 0.870 0.638
O 0.641 0.141 0.359
O 0.859 0.859 0.859
O 0.862 0.130 0.138
O 0.862 0.362 0.370
O 0.870 0.638 0.638
O 0.880 0.888 0.388
O 0.888 0.388 0.880
O 0.888 0.620 0.112
O 0.891 0.109 0.609

Main lines, in order of rising 2θ (5 to 70 degrees two-theta):
2θ/deg  I (rel.)
15.22  2
18.67  100
24.18  3
26.52  2
36.19  50
37.86  17
39.47  1
44.00  52
48.18  13
58.24  20
63.98  32
67.29  15

***

# 5
Starting from a crystal structure in the Materials Project, relaxed with GGA+U, the powder X-ray diffraction pattern of Li4NbCo5O12 was computed for Cu Kα X-rays.
Kinematic intensities with the Lorentz-polarization factor, no thermal factor.

Structural model:
abc: 5.024 5.024 10.011
angles: 93.30 93.30 119.46
Element x y z (fractional)
Li 0.044 0.705 0.724
Li 0.295 0.956 0.276
Li 0.705 0.044 0.724
Li 0.956 0.295 0.276
Nb 0.500 0.500 0.000
Co 0.000 0.000 0.500
Co 0.167 0.833 0.000
Co 0.335 0.665 0.500
Co 0.665 0.335 0.500
Co 0.833 0.167 0.000
O 0.008 0.654 0.390
O 0.131 0.131 0.896
O 0.176 0.520 0.106
O 0.302 0.302 0.400
O 0.346 0.992 0.610
O 0.480 0.824 0.894
O 0.520 0.176 0.106
O 0.654 0.008 0.390
O 0.698 0.698 0.600
O 0.824 0.480 0.894
O 0.869 0.869 0.104
O 0.992 0.346 0.610

Main lines, in order of rising 2θ (5 to 70 degrees two-theta):
2θ/deg  I (rel.)
17.84  100
35.68  9
36.45  18
37.48  15
38.20  10
42.06  9
44.02  18
46.64  18
48.44  8
57.47  10
61.09  7
63.91  9

***

# 6
Starting from a crystal structure in the Materials Project, relaxed with GGA+U, the powder X-ray diffraction pattern of Li4NbCo3O8 was computed for Cu Kα X-rays.
Kinematic intensities with the Lorentz-polarization factor, no thermal factor.

Structural model:
abc: 6.007 6.007 6.007
angles: 59.71 59.71 59.71
Element x y z (fractional)
Li 0.000 0.000 0.000
Li 0.000 0.500 0.500
Li 0.500 0.000 0.500
Li 0.500 0.500 0.000
Nb 0.500 0.500 0.500
Co 0.000 0.000 0.500
Co 0.000 0.500 0.000
Co 0.500 0.000 0.000
O 0.234 0.234 0.234
O 0.260 0.260 0.736
O 0.260 0.736 0.260
O 0.264 0.740 0.740
O 0.736 0.260 0.260
O 0.740 0.264 0.740
O 0.740 0.740 0.264
O 0.766 0.766 0.766

Main lines, in order of rising 2θ (5 to 70 degrees two-theta):
2θ/deg  I (rel.)
18.05  100
18.15  5
20.96  3
35.18  50
36.56  7
36.78  19
42.66  75
46.67  18
56.29  14
61.77  21
62.07  21
65.22  16

***

# 7
Starting from a crystal structure in the Materials Project, relaxed with GGA+U, the powder X-ray diffraction pattern of Li4NbCo3O8 was computed for Cu Kα X-rays.
Kinematic intensities with the Lorentz-polarization factor, no thermal factor.

Structural model:
abc: 5.133 5.638 6.538
angles: 89.93 89.58 89.97
Element x y z (fractional)
Li 0.000 0.000 0.000
Li 0.000 0.486 0.239
Li 0.493 0.814 0.766
Li 0.494 0.347 0.501
Nb 0.005 0.991 0.500
Co 0.005 0.481 0.767
Co 0.490 0.815 0.231
Co 0.495 0.321 0.004
O 0.373 0.986 0.498
O 0.382 0.482 0.765
O 0.385 0.489 0.240
O 0.387 0.004 0.000
O 0.864 0.324 0.002
O 0.883 0.835 0.266
O 0.891 0.309 0.505
O 0.891 0.826 0.735

Main lines, in order of rising 2θ (5 to 70 degrees two-theta):
2θ/deg  I (rel.)
20.81  100
21.94  60
22.09  58
27.23  21
31.63  60
31.74  29
34.65  24
34.96  54
36.17  31
36.36  63
56.47  38
68.28  21

***

# 8
Starting from a crystal structure in the Materials Project, relaxed with GGA+U, the powder X-ray diffraction pattern of Li4NbCo3O8 was computed for Cu Kα X-rays.
Kinematic intensities with the Lorentz-polarization factor, no thermal factor.

Structural model:
abc: 6.003 6.017 8.536
angles: 89.84 89.66 89.51
Element x y z (fractional)
Li 0.000 0.000 0.000
Li 0.000 0.500 0.500
Li 0.250 0.250 0.248
Li 0.250 0.750 0.750
Li 0.500 0.000 0.000
Li 0.500 0.500 0.500
Li 0.750 0.250 0.250
Li 0.750 0.750 0.752
Nb 0.252 0.751 0.251
Nb 0.748 0.249 0.749
Co 0.000 0.000 0.500
Co 0.000 0.500 0.000
Co 0.248 0.252 0.751
Co 0.500 0.000 0.500
Co 0.500 0.500 0.000
Co 0.752 0.748 0.249
O 0.009 0.989 0.252
O 0.015 0.508 0.250
O 0.233 0.280 0.993
O 0.246 0.752 0.012
O 0.251 0.744 0.488
O 0.269 0.213 0.509
O 0.485 0.991 0.248
O 0.491 0.512 0.250
O 0.509 0.488 0.750
O 0.515 0.009 0.752
O 0.731 0.787 0.491
O 0.749 0.256 0.512
O 0.754 0.248 0.988
O 0.767 0.720 0.007
O 0.985 0.492 0.750
O 0.991 0.011 0.748

Main lines, in order of rising 2θ (5 to 70 degrees two-theta):
2θ/deg  I (rel.)
18.06  100
34.84  33
35.17  16
36.53  19
36.71  6
42.36  49
42.74  23
46.51  18
56.04  10
61.24  7
61.66  20
61.82  14

***

# 9
Starting from a crystal structure in the Materials Project, relaxed with GGA+U, the powder X-ray diffraction pattern of LiNbCoO4 was computed for Cu Kα X-rays.
Kinematic intensities with the Lorentz-polarization factor, no thermal factor.

Structural model:
abc: 6.162 6.162 6.162
angles: 121.24 119.60 89.28
Element x y z (fractional)
Li 0.390 0.140 0.250
Li 0.610 0.860 0.750
Nb 0.000 0.500 0.500
Nb 0.500 0.500 0.000
Co 0.000 0.000 0.500
Co 0.000 0.500 0.000
O 0.206 0.726 0.480
O 0.253 0.274 0.980
O 0.254 0.282 0.528
O 0.254 0.726 0.972
O 0.746 0.274 0.028
O 0.746 0.718 0.472
O 0.747 0.726 0.020
O 0.794 0.274 0.520

Main lines, in order of rising 2θ (5 to 70 degrees two-theta):
2θ/deg  I (rel.)
17.52  37
17.82  100
33.90  9
34.07  49
34.55  13
35.46  14
36.09  13
41.18  23
41.73  46
55.37  14
60.07  29
62.78  12